(1)
The following is a theoretical powder X-ray diffraction pattern of Ac2LaNd2Tm. It was derived from a cell relaxed with PBE, using Cu Kα (weighted mean of Kα1 and Kα2).

Cell and atoms:
Cell: 5.9492 10.3103 7.3912 Å, 90.00 90.00 90.00°
Element x y z (fractional)
Ac 0.0000 0.0005 0.0000
Ac 0.0000 0.9995 0.5000
Ac 0.5000 0.1726 0.2504
Ac 0.5000 0.8274 0.7504
La 0.5000 0.5004 0.4993
La 0.5000 0.4996 0.9993
Nd 0.0000 0.3422 0.2496
Nd 0.0000 0.6578 0.7496
Nd 0.5000 0.1732 0.7498
Nd 0.5000 0.8268 0.2498
Tm 0.0000 0.3352 0.7491
Tm 0.0000 0.6648 0.2491

Peak list (10 most intense, 10° ≤ 2θ ≤ 90°, low angle first)
| 2theta | intensity |
| --- | --- |
| 29.75 | 93 |
| 30.03 | 100 |
| 42.78 | 35 |
| 53.15 | 37 |
| 53.33 | 20 |
| 58.83 | 30 |
| 62.42 | 13 |
| 70.66 | 16 |
| 83.41 | 11 |
| 86.55 | 10 |


(2)
The following is a theoretical powder X-ray diffraction pattern of Ac2La5NdTm. It was derived from a cell relaxed with PBE, using Cu Kα (weighted mean of Kα1 and Kα2).

Cell and atoms:
Cell: 5.6906 10.6346 11.7019 Å, 90.00 104.05 90.00°
Element x y z (fractional)
Ac 0.1173 0.0140 0.2337
Ac 0.1173 0.4860 0.2337
Ac 0.8827 0.5140 0.7663
Ac 0.8827 0.9860 0.7663
La 0.0033 0.7500 0.0052
La 0.2775 0.0613 0.5554
La 0.2775 0.4387 0.5554
La 0.3771 0.7500 0.7551
La 0.5000 0.0000 0.0000
La 0.5000 0.5000 0.0000
La 0.6229 0.2500 0.2449
La 0.7225 0.5613 0.4446
La 0.7225 0.9387 0.4446
La 0.9967 0.2500 0.9948
Nd 0.3968 0.2500 0.7942
Nd 0.6032 0.7500 0.2058
Tm 0.2166 0.7500 0.4327
Tm 0.7834 0.2500 0.5673

Peak list (10 most intense, 10° ≤ 2θ ≤ 90°, low angle first)
| 2theta | intensity |
| --- | --- |
| 25.78 | 24 |
| 29.96 | 18 |
| 30.28 | 100 |
| 31.46 | 46 |
| 33.71 | 17 |
| 45.12 | 10 |
| 46.78 | 21 |
| 55.25 | 19 |
| 57.49 | 9 |
| 57.89 | 14 |


(3)
The following is a theoretical powder X-ray diffraction pattern of AcLa2Nd4Tm. It was derived from a cell relaxed with PBE, using Cu Kα (weighted mean of Kα1 and Kα2).

Cell and atoms:
Cell: 6.1229 6.1490 7.6667 Å, 90.00 90.00 90.00°
Element x y z (fractional)
Ac 0.0000 0.0000 0.0000
La 0.0000 0.0000 0.5000
La 0.5000 0.5000 0.0000
Nd 0.0000 0.5000 0.2662
Nd 0.0000 0.5000 0.7338
Nd 0.5000 0.0000 0.2670
Nd 0.5000 0.0000 0.7330
Tm 0.5000 0.5000 0.5000

Peak list (10 most intense, 10° ≤ 2θ ≤ 90°, low angle first)
| 2theta | intensity |
| --- | --- |
| 29.04 | 31 |
| 29.17 | 30 |
| 31.13 | 100 |
| 41.63 | 23 |
| 47.43 | 7 |
| 52.81 | 23 |
| 52.96 | 23 |
| 56.62 | 17 |
| 64.92 | 12 |
| 69.46 | 10 |


(4)
The following is a theoretical powder X-ray diffraction pattern of Ac5La2NdY. It was derived from a cell relaxed with PBE, using Cu Kα (weighted mean of Kα1 and Kα2).

Cell and atoms:
Cell: 11.8295 11.8295 11.0853 Å, 90.00 90.00 151.12°
Element x y z (fractional)
Ac 0.0000 0.0000 0.0000
Ac 0.0000 0.0000 0.5000
Ac 0.1308 0.8692 0.7500
Ac 0.2199 0.7801 0.0644
Ac 0.2199 0.7801 0.4356
Ac 0.4969 0.5031 0.7500
Ac 0.5031 0.4969 0.2500
Ac 0.7801 0.2199 0.5644
Ac 0.7801 0.2199 0.9356
Ac 0.8692 0.1308 0.2500
La 0.3859 0.6141 0.0084
La 0.3859 0.6141 0.4916
La 0.6141 0.3859 0.5084
La 0.6141 0.3859 0.9916
Nd 0.3018 0.6982 0.7500
Nd 0.6982 0.3018 0.2500
Y 0.0993 0.9007 0.2500
Y 0.9007 0.0993 0.7500

Peak list (10 most intense, 10° ≤ 2θ ≤ 90°, low angle first)
| 2theta | intensity |
| --- | --- |
| 24.65 | 14 |
| 24.94 | 23 |
| 28.77 | 32 |
| 29.48 | 100 |
| 30.30 | 36 |
| 31.23 | 10 |
| 32.30 | 20 |
| 44.87 | 15 |
| 45.57 | 9 |
| 53.32 | 28 |


(5)
The following is a theoretical powder X-ray diffraction pattern of AcLaNd3Y. It was derived from a cell relaxed with PBE, using Cu Kα (weighted mean of Kα1 and Kα2).

Cell and atoms:
Cell: 10.8445 10.8445 7.1817 Å, 91.01 91.01 31.84°
Element x y z (fractional)
Ac 0.1477 0.1477 0.0278
Ac 0.8523 0.8523 0.9722
La 0.4462 0.4462 0.7248
La 0.5538 0.5538 0.2752
Nd 0.0165 0.0165 0.7422
Nd 0.2825 0.2825 0.7366
Nd 0.3363 0.3363 0.2622
Nd 0.6637 0.6637 0.7378
Nd 0.7175 0.7175 0.2634
Nd 0.9835 0.9835 0.2578
Y 0.1458 0.1458 0.4846
Y 0.8542 0.8542 0.5154

Peak list (10 most intense, 10° ≤ 2θ ≤ 90°, low angle first)
| 2theta | intensity |
| --- | --- |
| 25.63 | 21 |
| 28.78 | 46 |
| 29.12 | 45 |
| 29.30 | 22 |
| 30.02 | 100 |
| 31.64 | 48 |
| 32.02 | 61 |
| 33.64 | 46 |
| 42.94 | 20 |
| 50.87 | 17 |


(6)
The following is a theoretical powder X-ray diffraction pattern of AcLaNdY2. It was derived from a cell relaxed with PBE, using Cu Kα (weighted mean of Kα1 and Kα2).

Cell and atoms:
Cell: 6.4919 5.9634 9.9478 Å, 90.00 108.68 90.00°
Element x y z (fractional)
Ac 0.0690 0.2500 0.3036
Ac 0.9310 0.7500 0.6964
La 0.1361 0.7500 0.0969
La 0.8639 0.2500 0.9031
Nd 0.3354 0.7500 0.5026
Nd 0.6646 0.2500 0.4974
Y 0.2787 0.2500 0.7072
Y 0.4682 0.2500 0.0972
Y 0.5318 0.7500 0.9028
Y 0.7213 0.7500 0.2928

Peak list (10 most intense, 10° ≤ 2θ ≤ 90°, low angle first)
| 2theta | intensity |
| --- | --- |
| 27.46 | 25 |
| 29.97 | 38 |
| 31.20 | 53 |
| 31.36 | 100 |
| 41.09 | 17 |
| 54.03 | 22 |
| 54.10 | 11 |
| 57.88 | 12 |
| 57.95 | 12 |
| 58.20 | 12 |


(7)
The following is a theoretical powder X-ray diffraction pattern of AcLa2Ni9. It was derived from a cell relaxed with PBE, using Cu Kα (weighted mean of Kα1 and Kα2).

Cell and atoms:
Cell: 8.8618 8.8618 8.8618 Å, 33.45 33.45 33.45°
Element x y z (fractional)
Ac 0.0000 0.0000 0.0000
La 0.1392 0.1392 0.1392
La 0.8608 0.8608 0.8608
Ni 0.0833 0.5804 0.5804
Ni 0.3320 0.3320 0.3320
Ni 0.4196 0.4196 0.9167
Ni 0.4196 0.9167 0.4196
Ni 0.5000 0.5000 0.5000
Ni 0.5804 0.0833 0.5804
Ni 0.5804 0.5804 0.0833
Ni 0.6680 0.6680 0.6680
Ni 0.9167 0.4196 0.4196

Peak list (10 most intense, 10° ≤ 2θ ≤ 90°, low angle first)
| 2theta | intensity |
| --- | --- |
| 32.17 | 54 |
| 35.15 | 94 |
| 41.02 | 41 |
| 41.48 | 100 |
| 41.51 | 15 |
| 43.30 | 14 |
| 61.25 | 16 |
| 63.11 | 25 |
| 67.43 | 23 |
| 74.39 | 21 |


(8)
The following is a theoretical powder X-ray diffraction pattern of AcLa2Ni. It was derived from a cell relaxed with PBE, using Cu Kα (weighted mean of Kα1 and Kα2).

Cell and atoms:
Cell: 5.2193 7.7267 6.7179 Å, 90.00 112.81 90.00°
Element x y z (fractional)
Ac 0.0356 0.2500 0.0713
Ac 0.9644 0.7500 0.9287
La 0.3456 0.0284 0.6917
La 0.3456 0.4716 0.6917
La 0.6544 0.5284 0.3083
La 0.6544 0.9716 0.3083
Ni 0.2006 0.7500 0.4068
Ni 0.7994 0.2500 0.5932

Peak list (10 most intense, 10° ≤ 2θ ≤ 90°, low angle first)
| 2theta | intensity |
| --- | --- |
| 27.21 | 24 |
| 27.55 | 63 |
| 29.66 | 100 |
| 29.92 | 25 |
| 31.12 | 22 |
| 34.36 | 37 |
| 37.22 | 24 |
| 47.04 | 26 |
| 51.55 | 19 |
| 58.67 | 15 |


(9)
The following is a theoretical powder X-ray diffraction pattern of Ac3LaNi2. It was derived from a cell relaxed with PBE, using Cu Kα (weighted mean of Kα1 and Kα2).

Cell and atoms:
Cell: 9.1593 9.1593 12.7275 Å, 124.24 124.24 26.03°
Element x y z (fractional)
Ac 0.0854 0.0854 0.4424
Ac 0.0863 0.0863 0.9496
Ac 0.3429 0.3429 0.2458
Ac 0.6571 0.6571 0.7542
Ac 0.9137 0.9137 0.0504
Ac 0.9146 0.9146 0.5576
La 0.3379 0.3379 0.7348
La 0.6621 0.6621 0.2652
Ni 0.2654 0.2654 0.4503
Ni 0.2666 0.2666 0.9543
Ni 0.7334 0.7334 0.0457
Ni 0.7346 0.7346 0.5497

Peak list (10 most intense, 10° ≤ 2θ ≤ 90°, low angle first)
| 2theta | intensity |
| --- | --- |
| 26.19 | 23 |
| 27.11 | 56 |
| 28.42 | 67 |
| 30.38 | 100 |
| 33.19 | 27 |
| 37.80 | 26 |
| 38.31 | 21 |
| 43.90 | 24 |
| 49.75 | 27 |
| 50.18 | 24 |


(10)
The following is a theoretical powder X-ray diffraction pattern of Ac5LaNi4. It was derived from a cell relaxed with PBE, using Cu Kα (weighted mean of Kα1 and Kα2).

Cell and atoms:
Cell: 9.4661 9.4661 8.1541 Å, 90.10 90.10 25.52°
Element x y z (fractional)
Ac 0.0000 0.0000 0.0000
Ac 0.3385 0.3385 0.2573
Ac 0.3389 0.3389 0.7420
Ac 0.6611 0.6611 0.2580
Ac 0.6615 0.6615 0.7427
La 0.0000 0.0000 0.5000
Ni 0.2087 0.2087 0.5002
Ni 0.4998 0.4998 0.2555
Ni 0.5002 0.5002 0.7445
Ni 0.7913 0.7913 0.4998

Peak list (10 most intense, 10° ≤ 2θ ≤ 90°, low angle first)
| 2theta | intensity |
| --- | --- |
| 23.86 | 24 |
| 25.76 | 83 |
| 29.02 | 56 |
| 29.22 | 41 |
| 31.02 | 100 |
| 39.34 | 46 |
| 43.28 | 23 |
| 44.44 | 22 |
| 46.40 | 32 |
| 52.08 | 25 |


(11)
The following is a theoretical powder X-ray diffraction pattern of AcLaO3. It was derived from a cell relaxed with PBE, using Cu Kα (weighted mean of Kα1 and Kα2).

Cell and atoms:
Cell: 6.8490 6.8490 6.8490 Å, 53.12 53.12 53.12°
Element x y z (fractional)
Ac 0.1431 0.1431 0.1431
Ac 0.8569 0.8569 0.8569
La 0.3537 0.3537 0.3537
La 0.6463 0.6463 0.6463
O 0.0445 0.4686 0.7345
O 0.2655 0.5314 0.9555
O 0.4686 0.7345 0.0445
O 0.5314 0.9555 0.2655
O 0.7345 0.0445 0.4686
O 0.9555 0.2655 0.5314

Peak list (10 most intense, 10° ≤ 2θ ≤ 90°, low angle first)
| 2theta | intensity |
| --- | --- |
| 19.54 | 20 |
| 26.32 | 100 |
| 29.16 | 93 |
| 39.68 | 42 |
| 42.69 | 41 |
| 50.00 | 41 |
| 51.70 | 26 |
| 54.98 | 17 |
| 67.09 | 15 |
| 71.31 | 15 |


(12)
The following is a theoretical powder X-ray diffraction pattern of Ac2LaO4. It was derived from a cell relaxed with PBE, using Cu Kα (weighted mean of Kα1 and Kα2).

Cell and atoms:
Cell: 7.4618 7.4618 7.4618 Å, 144.05 144.05 51.75°
Element x y z (fractional)
Ac 0.1508 0.1508 0.0000
Ac 0.8492 0.8492 0.0000
La 0.5000 0.5000 0.0000
O 0.0000 0.5000 0.5000
O 0.3173 0.3173 0.0000
O 0.5000 0.0000 0.5000
O 0.6827 0.6827 0.0000

Peak list (10 most intense, 10° ≤ 2θ ≤ 90°, low angle first)
| 2theta | intensity |
| --- | --- |
| 27.39 | 63 |
| 27.80 | 100 |
| 39.12 | 31 |
| 40.30 | 11 |
| 48.67 | 45 |
| 49.42 | 19 |
| 56.52 | 10 |
| 57.42 | 15 |
| 63.93 | 12 |
| 77.76 | 12 |


(13)
The following is a theoretical powder X-ray diffraction pattern of AcLaOsO6. It was derived from a cell relaxed with PBE, using Cu Kα (weighted mean of Kα1 and Kα2).

Cell and atoms:
Cell: 5.9083 5.9083 9.4361 Å, 90.00 90.00 120.00°
Element x y z (fractional)
Ac 0.3333 0.6667 0.2500
Ac 0.6667 0.3333 0.7500
La 0.0000 0.0000 0.0000
La 0.0000 0.0000 0.5000
Os 0.3333 0.6667 0.7500
Os 0.6667 0.3333 0.2500
O 0.0684 0.3855 0.6337
O 0.0684 0.6829 0.8663
O 0.3171 0.3855 0.8663
O 0.3171 0.9316 0.6337
O 0.3855 0.0684 0.1337
O 0.3855 0.3171 0.3663
O 0.6145 0.6829 0.6337
O 0.6145 0.9316 0.8663
O 0.6829 0.0684 0.3663
O 0.6829 0.6145 0.1337
O 0.9316 0.3171 0.1337
O 0.9316 0.6145 0.3663

Peak list (10 most intense, 10° ≤ 2θ ≤ 90°, low angle first)
| 2theta | intensity |
| --- | --- |
| 18.81 | 23 |
| 25.68 | 100 |
| 30.25 | 71 |
| 35.86 | 28 |
| 40.09 | 31 |
| 49.44 | 50 |
| 51.04 | 31 |
| 53.74 | 20 |
| 67.80 | 15 |
| 76.02 | 13 |